Diffraction record for NaHo3. The powder XRD pattern is simulated, not measured: it uses a crystal structure in the Materials Project, relaxed with GGA-PBE and CuKα.
Neutral-atom scattering factors, no anomalous dispersion.

Structural model:
abc: 5.0056 5.0056 5.0056
angles: 90.00 90.00 90.00
Fractional coordinates of all 4 atoms:
Na1 0.0000 0.0000 0.0000
Ho1 0.0000 0.5000 0.5000
Ho2 0.5000 0.0000 0.5000
Ho3 0.5000 0.5000 0.0000

The 10 most intense peaks (2θ from 10° to 80°), in order of rising 2θ:
- 2θ = 17.72°, I 21
- 2θ = 25.16°, I 18
- 2θ = 30.94°, I 100
- 2θ = 35.88°, I 51
- 2θ = 40.29°, I 11
- 2θ = 44.33°, I 8
- 2θ = 51.65°, I 36
- 2θ = 61.43°, I 42
- 2θ = 64.49°, I 12
- 2θ = 76.06°, I 6

Diffraction record for Ge7O23. The powder XRD pattern is simulated, not measured: it uses a crystal structure in the Materials Project, relaxed with GGA-PBE and CuKα.
Neutral-atom scattering factors, no anomalous dispersion.

Structural model:
abc: 7.7303 7.7303 7.7303
angles: 90.00 90.00 90.00
Fractional coordinates of all 30 atoms:
Ge1 0.0000 0.0000 0.5000
Ge2 0.0000 0.5000 0.0000
Ge3 0.1445 0.1445 0.1445
Ge4 0.1445 0.8555 0.8555
Ge5 0.5000 0.0000 0.0000
Ge6 0.8555 0.1445 0.8555
Ge7 0.8555 0.8555 0.1445
O1 0.0000 0.5000 0.5000
O2 0.1150 0.1150 0.8850
O3 0.1150 0.8850 0.1150
O4 0.1375 0.1375 0.3806
O5 0.1375 0.3806 0.1375
O6 0.1375 0.6194 0.8625
O7 0.1375 0.8625 0.6194
O8 0.3372 0.3372 0.6628
O9 0.3372 0.6628 0.3372
O10 0.3806 0.1375 0.1375
O11 0.3806 0.8625 0.8625
O12 0.5000 0.0000 0.5000
O13 0.5000 0.5000 0.0000
O14 0.6194 0.1375 0.8625
O15 0.6194 0.8625 0.1375
O16 0.6628 0.3372 0.3372
O17 0.6628 0.6628 0.6628
O18 0.8625 0.1375 0.6194
O19 0.8625 0.3806 0.8625
O20 0.8625 0.6194 0.1375
O21 0.8625 0.8625 0.3806
O22 0.8850 0.1150 0.1150
O23 0.8850 0.8850 0.8850

The 10 most intense peaks (2θ from 10° to 80°), in order of rising 2θ:
- 2θ = 11.45°, I 100
- 2θ = 19.89°, I 21
- 2θ = 28.28°, I 34
- 2θ = 32.77°, I 17
- 2θ = 34.82°, I 8
- 2θ = 36.77°, I 22
- 2θ = 38.63°, I 13
- 2θ = 50.06°, I 9
- 2θ = 52.97°, I 11
- 2θ = 68.69°, I 10

Diffraction record for LiMg6Mn. The powder XRD pattern is simulated, not measured: it uses a crystal structure in the Materials Project, relaxed with GGA-PBE and CuKα.
Neutral-atom scattering factors, no anomalous dispersion.

Structural model:
abc: 4.9657 6.2271 6.2271
angles: 61.01 90.00 90.00
Fractional coordinates of all 8 atoms:
Li1 0.0000 0.0000 0.0000
Mg1 0.0000 0.9999 0.4977
Mg2 0.0000 0.4977 0.9999
Mg3 0.5000 0.3326 0.8259
Mg4 0.5000 0.3364 0.3364
Mg5 0.5000 0.8259 0.3326
Mg6 0.5000 0.8341 0.8341
Mn1 0.0000 0.4999 0.4999

The 10 most intense peaks (2θ from 10° to 80°), in order of rising 2θ:
- 2θ = 16.27°, I 34
- 2θ = 24.25°, I 23
- 2θ = 32.89°, I 24
- 2θ = 36.18°, I 37
- 2θ = 37.67°, I 100
- 2θ = 38.13°, I 48
- 2θ = 49.69°, I 14
- 2θ = 59.38°, I 16
- 2θ = 66.05°, I 17
- 2θ = 71.54°, I 18

Diffraction record for LiVN2. The powder XRD pattern is simulated, not measured: it uses a crystal structure in the Materials Project, relaxed with GGA-PBE and CuKα.
Neutral-atom scattering factors, no anomalous dispersion.

Structural model:
abc: 5.4686 6.6508 5.0823
angles: 90.00 90.00 90.00
Fractional coordinates of all 16 atoms:
Li1 0.0823 0.1229 0.0000
Li2 0.4177 0.6229 0.5000
Li3 0.5823 0.3771 0.0000
Li4 0.9177 0.8771 0.5000
V1 0.0739 0.6253 0.0129
V2 0.4261 0.1253 0.5129
V3 0.5739 0.8747 0.0129
V4 0.9261 0.3747 0.5129
N1 0.0538 0.5993 0.3659
N2 0.1055 0.1545 0.4245
N3 0.3945 0.6545 0.9245
N4 0.4462 0.0993 0.8659
N5 0.5538 0.9007 0.3659
N6 0.6055 0.3455 0.4245
N7 0.8945 0.8455 0.9245
N8 0.9462 0.4007 0.8659

The 10 most intense peaks (2θ from 10° to 80°), in order of rising 2θ:
- 2θ = 21.03°, I 90
- 2θ = 22.01°, I 100
- 2θ = 27.46°, I 21
- 2θ = 31.49°, I 39
- 2θ = 32.75°, I 27
- 2θ = 35.32°, I 40
- 2θ = 36.22°, I 50
- 2θ = 55.27°, I 23
- 2θ = 57.68°, I 28
- 2θ = 63.99°, I 22

Diffraction record for KAuF4. The powder XRD pattern is simulated, not measured: it uses a crystal structure in the Materials Project, relaxed with GGA-PBE and CuKα.
Neutral-atom scattering factors, no anomalous dispersion.

Structural model:
abc: 7.2549 7.2549 7.2549
angles: 129.47 129.47 74.26
Fractional coordinates of all 12 atoms:
K1 0.2500 0.2500 0.0000
K2 0.7500 0.7500 0.0000
Au1 0.0000 0.5000 0.5000
Au2 0.5000 0.0000 0.5000
F1 0.0409 0.5409 0.8205
F2 0.2205 0.0409 0.5000
F3 0.2795 0.7795 0.8205
F4 0.4591 0.2795 0.5000
F5 0.5409 0.7205 0.5000
F6 0.7205 0.2205 0.1795
F7 0.7795 0.9591 0.5000
F8 0.9591 0.4591 0.1795

The 10 most intense peaks (2θ from 10° to 80°), in order of rising 2θ:
- 2θ = 15.32°, I 35
- 2θ = 20.28°, I 47
- 2θ = 25.51°, I 100
- 2θ = 28.83°, I 26
- 2θ = 32.81°, I 22
- 2θ = 41.23°, I 16
- 2θ = 42.78°, I 32
- 2θ = 49.11°, I 32
- 2θ = 56.77°, I 15
- 2θ = 68.27°, I 17